CoH12Br2O14: simulated XRD peak list (λ = 1.5418 Å (Cu Kα)), based on a crystal structure in Alexandria, relaxed with PBE+U.

a = 7.7885 Å, b = 7.7885 Å, c = 6.4031 Å
α = 90.00°, β = 90.00°, γ = 120.00°
Fractional positions:
Co 0.0000 0.0000 0.0000
H 0.0642 0.3338 0.2149
H 0.0642 0.7305 0.2149
H 0.2695 0.3338 0.2149
H 0.2695 0.9358 0.2149
H 0.3338 0.0642 0.7851
H 0.3338 0.2695 0.7851
H 0.6662 0.7305 0.2149
H 0.6662 0.9358 0.2149
H 0.7305 0.0642 0.7851
H 0.7305 0.6662 0.7851
H 0.9358 0.2695 0.7851
H 0.9358 0.6662 0.7851
Br 0.3333 0.6667 0.6781
Br 0.6667 0.3333 0.3219
O 0.1031 0.5515 0.7688
O 0.1266 0.2533 0.1888
O 0.1266 0.8734 0.1888
O 0.2533 0.1266 0.8112
O 0.3333 0.6667 0.4223
O 0.4485 0.5515 0.7688
O 0.4485 0.8969 0.7688
O 0.5515 0.1031 0.2312
O 0.5515 0.4485 0.2312
O 0.6667 0.3333 0.5777
O 0.7467 0.8734 0.1888
O 0.8734 0.1266 0.8112
O 0.8734 0.7467 0.8112
O 0.8969 0.4485 0.2312

Most intense lines, 10 to 90 degrees two-theta, low angle first:
19.11 deg, intensity 100
22.84 deg, intensity 48
29.95 deg, intensity 45
30.92 deg, intensity 15
37.99 deg, intensity 9
45.48 deg, intensity 21
46.65 deg, intensity 11
48.65 deg, intensity 13
50.85 deg, intensity 14
61.67 deg, intensity 9



CoH12Br2O6: simulated XRD peak list (λ = 1.5418 Å (Cu Kα)), based on a crystal structure in Alexandria, relaxed with PBE+U.

a = 6.5914 Å, b = 6.5914 Å, c = 7.0936 Å
α = 119.25°, β = 119.25°, γ = 66.10°
Fractional positions:
Co 0.0000 0.0000 0.0000
H 0.1903 0.1903 0.5466
H 0.1936 0.5820 0.7284
H 0.2178 0.6944 0.2230
H 0.2687 0.2687 0.8193
H 0.3056 0.7822 0.7770
H 0.4180 0.8064 0.2716
H 0.5820 0.1936 0.7284
H 0.6944 0.2178 0.2230
H 0.7313 0.7313 0.1807
H 0.7822 0.3056 0.7770
H 0.8064 0.4180 0.2716
H 0.8097 0.8097 0.4534
Br 0.2832 0.2832 0.1557
Br 0.7168 0.7168 0.8443
O 0.1567 0.7544 0.7529
O 0.2456 0.8433 0.2471
O 0.2877 0.2877 0.6985
O 0.7123 0.7123 0.3015
O 0.7544 0.1567 0.7529
O 0.8433 0.2456 0.2471

Most intense lines, 10 to 90 degrees two-theta, low angle first:
15.37 deg, intensity 65
17.59 deg, intensity 99
24.77 deg, intensity 41
29.24 deg, intensity 100
30.47 deg, intensity 26
31.89 deg, intensity 33
32.41 deg, intensity 38
33.35 deg, intensity 35
41.99 deg, intensity 22
46.50 deg, intensity 57